# LaSmCoSi
Theoretical powder X-ray diffraction pattern, Cu Kα. Input: DFT lattice parameters and positions (GGA-PBE).

Largest 10 diffraction maxima, in order of falling intensity, 10° ≤ 2θ ≤ 80°:
- (2 0 1), 32.5 deg, intensity 100
- (2 0 -1), 25.6 deg, intensity 86
- (0 2 0), 44.6 deg, intensity 65
- (2 0 -3), 38.2 deg, intensity 58
- (1 1 1), 30.1 deg, intensity 51
- (0 0 1), 12.0 deg, intensity 36
- (0 0 2), 24.0 deg, intensity 30
- (3 1 1), 51.3 deg, intensity 24
- (0 2 4), 68.6 deg, intensity 23
- (1 1 -3), 41.4 deg, intensity 21

Cell and atoms:
```
LaSmCoSi
1.0
7.037 0.000 0.000
0.000 4.063 0.000
-2.358 0.000 7.401
La Sm Co Si
2 2 2 2
Cartesian
0.000 0.000 0.000
3.519 2.031 0.000
0.001 0.000 3.722
3.519 2.031 3.722
2.347 0.000 1.861
5.865 2.031 1.861
1.174 2.031 1.953
4.692 0.000 1.953
```